Record 1
This entry pairs a crystal structure of Cs3ZrO3 with its simulated X-ray diffraction stick pattern. Radiation: copper Kα. Structure: a structure optimized by DFT (GGA-PBE).
Neutral-atom scattering factors, no anomalous dispersion.

Structure:
```
Cs3ZrO3
1.0
8.4908 -5.5011 0.0000
8.4908 5.5011 0.0000
0.0000 0.0000 10.7530
Cs Zr O
12 4 12
direct
0.0144 0.3426 0.8824
0.1574 0.4856 0.6176
0.2126 0.7874 0.8367
0.2874 0.7126 0.3367
0.3426 0.0144 0.1176
0.4856 0.1574 0.3824
0.5144 0.8426 0.6176
0.6574 0.9856 0.8824
0.7126 0.2874 0.6633
0.7874 0.2126 0.1633
0.8426 0.5144 0.3824
0.9856 0.6574 0.1176
0.0922 0.0922 0.5000
0.4078 0.4078 0.0000
0.5922 0.5922 0.0000
0.9078 0.9078 0.5000
0.0199 0.2842 0.5781
0.0689 0.9311 0.6062
0.2158 0.4801 0.9219
0.2842 0.0199 0.4219
0.4311 0.5689 0.1062
0.4801 0.2158 0.0781
0.5199 0.7842 0.9219
0.5689 0.4311 0.8938
0.7158 0.9801 0.5781
0.7842 0.5199 0.0781
0.9311 0.0689 0.3938
0.9801 0.7158 0.4219
```

Most intense lines, 2θ = 15–90°, most intense first:
2θ 24.2, d = 3.674 Å, I 100
2θ 20.9, d = 4.242 Å, I 41
2θ 26.2, d = 3.401 Å, I 35
2θ 46.6, d = 1.949 Å, I 26
2θ 31.6, d = 2.831 Å, I 26
2θ 26.7, d = 3.338 Å, I 25



Record 2
This entry pairs a crystal structure of CsZr4O8 with its simulated X-ray diffraction stick pattern. Radiation: copper Kα. Structure: a structure optimized by DFT (GGA-PBE).
Neutral-atom scattering factors, no anomalous dispersion.

Structure:
```
CsZr4O8
1.0
-5.5123 5.5123 1.6533
5.5123 -5.5123 1.6533
5.5123 5.5123 -1.6533
Cs Zr O
1 4 8
direct
0.0000 0.0000 0.0000
0.1543 0.3388 0.4931
0.3388 0.8457 0.1846
0.6612 0.1543 0.8154
0.8457 0.6612 0.5069
0.0362 0.6701 0.7063
0.2925 0.6582 0.9508
0.3299 0.0362 0.3661
0.3418 0.2925 0.6343
0.6582 0.7075 0.3657
0.6701 0.9638 0.6339
0.7075 0.3418 0.0492
0.9638 0.3299 0.2937
```

Most intense lines, 2θ = 15–90°, most intense first:
2θ 25.6, d = 3.486 Å, I 100
2θ 32.6, d = 2.746 Å, I 72
2θ 52.6, d = 1.741 Å, I 36
2θ 43.5, d = 2.079 Å, I 31
2θ 49.6, d = 1.837 Å, I 26
2θ 36.6, d = 2.458 Å, I 22



Record 3
This entry pairs a crystal structure of CsOsS3 with its simulated X-ray diffraction stick pattern. Radiation: copper Kα. Structure: a structure optimized by DFT (GGA-PBE).
Neutral-atom scattering factors, no anomalous dispersion.

Structure:
```
CsOsS3
1.0
7.3467 0.0000 0.0000
-3.6733 6.3624 0.0000
0.0000 0.0000 5.8242
Cs Os S
2 2 6
direct
0.3333 0.6667 0.2500
0.6667 0.3333 0.7500
0.0000 0.0000 0.0000
0.0000 0.0000 0.5000
0.1468 0.2936 0.7500
0.1468 0.8532 0.7500
0.2936 0.1468 0.2500
0.7064 0.8532 0.7500
0.8532 0.1468 0.2500
0.8532 0.7064 0.2500
```

Most intense lines, 2θ = 15–90°, most intense first:
2θ 24.2, d = 3.673 Å, I 100
2θ 49.1, d = 1.854 Å, I 53
2θ 33.9, d = 2.648 Å, I 50
2θ 42.1, d = 2.148 Å, I 50
2θ 32.1, d = 2.792 Å, I 46
2θ 20.7, d = 4.296 Å, I 29



Record 4
This entry pairs a crystal structure of Cs2P3 with its simulated X-ray diffraction stick pattern. Radiation: copper Kα. Structure: a structure optimized by DFT (GGA-PBE).
Neutral-atom scattering factors, no anomalous dispersion.

Structure:
```
Cs2P3
1.0
0.0000 5.0750 7.6662
4.7896 0.0000 7.6662
4.7896 5.0750 0.0000
Cs P
4 6
direct
0.2182 0.7818 0.2182
0.2500 0.2500 0.2500
0.7500 0.7500 0.7500
0.7818 0.2182 0.7818
0.2337 0.6251 0.7663
0.3579 0.3579 0.6421
0.3749 0.7663 0.6251
0.6251 0.2337 0.3749
0.6421 0.6421 0.3579
0.7663 0.3749 0.2337
```

Most intense lines, 2θ = 15–90°, most intense first:
2θ 28.1, d = 3.171 Å, I 100
2θ 21.9, d = 4.062 Å, I 55
2θ 29.2, d = 3.059 Å, I 47
2θ 40.0, d = 2.255 Å, I 24
2θ 23.2, d = 3.833 Å, I 23
2θ 17.5, d = 5.075 Å, I 21



Record 5
This entry pairs a crystal structure of Cs3P7 with its simulated X-ray diffraction stick pattern. Radiation: copper Kα. Structure: a structure optimized by DFT (GGA-PBE).
Neutral-atom scattering factors, no anomalous dispersion.

Structure:
```
Cs3P7
1.0
9.2795 0.0000 0.0000
0.0000 9.2795 0.0000
0.0000 0.0000 16.9062
Cs P
12 28
direct
0.0168 0.8270 0.9998
0.1730 0.0168 0.2498
0.2559 0.6251 0.5000
0.2641 0.4138 0.0873
0.3749 0.2559 0.7500
0.4138 0.7359 0.8373
0.5862 0.2641 0.3373
0.6251 0.7441 0.2500
0.7359 0.5862 0.5873
0.7441 0.3749 0.0000
0.8270 0.9832 0.7498
0.9832 0.1730 0.4998
0.0051 0.2967 0.8378
0.0052 0.6502 0.2047
0.0219 0.6472 0.8080
0.0908 0.5590 0.6938
0.1037 0.4825 0.8900
0.2061 0.6195 0.2818
0.2111 0.3952 0.3105
0.2967 0.9949 0.5878
0.3498 0.0052 0.4547
0.3528 0.0219 0.0580
0.3805 0.2061 0.5318
0.3952 0.7889 0.0605
0.4410 0.0908 0.9438
0.4825 0.8963 0.6400
0.5175 0.1037 0.1400
0.5590 0.9092 0.4438
0.6048 0.2111 0.5605
0.6195 0.7939 0.0318
0.6472 0.9781 0.5580
0.6502 0.9948 0.9547
0.7033 0.0051 0.0878
0.7889 0.6048 0.8105
0.7939 0.3805 0.7818
0.8963 0.5175 0.3900
0.9092 0.4410 0.1938
0.9781 0.3528 0.3080
0.9948 0.3498 0.7047
0.9949 0.7033 0.3378
```

Most intense lines, 2θ = 15–90°, most intense first:
2θ 22.1, d = 4.030 Å, I 100
2θ 23.9, d = 3.725 Å, I 81
2θ 19.8, d = 4.474 Å, I 61
2θ 20.8, d = 4.275 Å, I 51
2θ 24.9, d = 3.582 Å, I 50
2θ 29.4, d = 3.043 Å, I 49



Record 6
This entry pairs a crystal structure of CsP2Pb2 with its simulated X-ray diffraction stick pattern. Radiation: copper Kα. Structure: a structure optimized by DFT (GGA-PBE).
Neutral-atom scattering factors, no anomalous dispersion.

Structure:
```
CsP2Pb2
1.0
4.8865 0.0000 0.0000
0.0000 4.8865 0.0000
0.0000 0.0000 12.6741
Cs P Pb
2 4 4
direct
0.0000 0.0000 0.0000
0.5000 0.5000 0.5000
0.0000 0.0000 0.4166
0.0000 0.0000 0.5834
0.5000 0.5000 0.0834
0.5000 0.5000 0.9166
0.0000 0.5000 0.2500
0.0000 0.5000 0.7500
0.5000 0.0000 0.2500
0.5000 0.0000 0.7500
```

Most intense lines, 2θ = 15–90°, most intense first:
2θ 29.4, d = 3.034 Å, I 100
2θ 36.8, d = 2.443 Å, I 31
2θ 61.8, d = 1.501 Å, I 25
2θ 47.0, d = 1.935 Å, I 23
2θ 28.2, d = 3.169 Å, I 22
2θ 50.7, d = 1.802 Å, I 16